The following is a theoretical X-ray powder pattern of Pm2GaPd8. It was derived from a crystal structure in Alexandria, relaxed with PBE, using Cu Kα (weighted mean of Kα1 and Kα2).
Intensities are scaled so that the largest is 100.

Principal peaks in the range 15° ≤ 2θ ≤ 90°, by angle:
2.777 Å, 32.2 deg, intensity 16
2.429 Å, 37.0 deg, intensity 36
2.370 Å, 38.0 deg, intensity 15
2.335 Å, 38.6 deg, intensity 35
2.235 Å, 40.4 deg, intensity 100
1.532 Å, 60.4 deg, intensity 13
1.328 Å, 71.0 deg, intensity 19
1.281 Å, 74.0 deg, intensity 16

Atomic structure:
abc: 8.067 8.067 6.034
angles: 111.90 111.90 33.65
Sites, in units of the cell vectors:
Pm  0.189  0.189  0.188
Pm  0.811  0.811  0.812
Ga  0.500  0.500  0.500
Pd  0.000  0.000  0.257
Pd  0.000  0.000  0.743
Pd  0.179  0.179  0.679
Pd  0.368  0.368  0.628
Pd  0.369  0.369  0.109
Pd  0.631  0.631  0.891
Pd  0.632  0.632  0.372
Pd  0.821  0.821  0.321


The following is a theoretical X-ray powder pattern of Pm2Ga7Pd12. It was derived from a crystal structure in Alexandria, relaxed with PBE, using Cu Kα (weighted mean of Kα1 and Kα2).
Intensities are scaled so that the largest is 100.

Principal peaks in the range 15° ≤ 2θ ≤ 90°, by angle:
2.562 Å, 35.0 deg, intensity 100
2.372 Å, 37.9 deg, intensity 9
2.093 Å, 43.2 deg, intensity 16
2.040 Å, 44.4 deg, intensity 10
1.978 Å, 45.9 deg, intensity 16
1.940 Å, 46.8 deg, intensity 27
1.385 Å, 67.6 deg, intensity 11
1.210 Å, 79.2 deg, intensity 9

Atomic structure:
abc: 10.268 10.268 3.955
angles: 90.00 90.00 120.00
Sites, in units of the cell vectors:
Pm  0.333  0.667  0.243
Pm  0.667  0.333  0.757
Ga  0.000  0.000  0.500
Ga  0.114  0.402  0.746
Ga  0.288  0.886  0.746
Ga  0.402  0.288  0.254
Ga  0.598  0.712  0.746
Ga  0.712  0.114  0.254
Ga  0.886  0.598  0.254
Pd  0.062  0.619  0.751
Pd  0.118  0.858  0.244
Pd  0.142  0.260  0.244
Pd  0.260  0.118  0.756
Pd  0.381  0.443  0.751
Pd  0.443  0.062  0.249
Pd  0.557  0.938  0.751
Pd  0.619  0.557  0.249
Pd  0.740  0.882  0.244
Pd  0.858  0.740  0.756
Pd  0.882  0.142  0.756
Pd  0.938  0.381  0.249


The following is a theoretical X-ray powder pattern of Pm4Ga12Pd. It was derived from a crystal structure in Alexandria, relaxed with PBE, using Cu Kα (weighted mean of Kα1 and Kα2).
Intensities are scaled so that the largest is 100.

Principal peaks in the range 15° ≤ 2θ ≤ 90°, by angle:
3.096 Å, 28.8 deg, intensity 32
2.528 Å, 35.5 deg, intensity 100
2.340 Å, 38.5 deg, intensity 12
2.189 Å, 41.2 deg, intensity 66
1.548 Å, 59.7 deg, intensity 38
1.384 Å, 67.7 deg, intensity 10
1.320 Å, 71.5 deg, intensity 29
1.264 Å, 75.2 deg, intensity 11

Atomic structure:
abc: 7.583 7.583 7.583
angles: 109.47 109.47 109.47
Sites, in units of the cell vectors:
Pm  0.000  0.000  0.500
Pm  0.000  0.500  0.000
Pm  0.500  0.000  0.000
Pm  0.500  0.500  0.500
Ga  0.000  0.297  0.297
Ga  0.000  0.703  0.703
Ga  0.250  0.500  0.750
Ga  0.250  0.750  0.500
Ga  0.297  0.000  0.297
Ga  0.297  0.297  0.000
Ga  0.500  0.250  0.750
Ga  0.500  0.750  0.250
Ga  0.703  0.000  0.703
Ga  0.703  0.703  0.000
Ga  0.750  0.250  0.500
Ga  0.750  0.500  0.250
Pd  0.000  0.000  0.000


The following is a theoretical X-ray powder pattern of PmGa6Pd2. It was derived from a crystal structure in Alexandria, relaxed with PBE, using Cu Kα (weighted mean of Kα1 and Kα2).
Intensities are scaled so that the largest is 100.

Principal peaks in the range 15° ≤ 2θ ≤ 90°, by angle:
3.570 Å, 24.9 deg, intensity 64
3.418 Å, 26.1 deg, intensity 19
2.960 Å, 30.2 deg, intensity 29
2.279 Å, 39.5 deg, intensity 22
2.093 Å, 43.2 deg, intensity 100
1.541 Å, 60.0 deg, intensity 18
1.480 Å, 62.8 deg, intensity 16
1.208 Å, 79.3 deg, intensity 32

Atomic structure:
abc: 8.372 8.372 8.372
angles: 60.00 60.00 60.00
Sites, in units of the cell vectors:
Pm  0.125  0.125  0.125
Pm  0.875  0.875  0.875
Ga  0.131  0.131  0.619
Ga  0.131  0.619  0.131
Ga  0.131  0.619  0.619
Ga  0.381  0.381  0.869
Ga  0.381  0.869  0.381
Ga  0.381  0.869  0.869
Ga  0.619  0.131  0.131
Ga  0.619  0.131  0.619
Ga  0.619  0.619  0.131
Ga  0.869  0.381  0.381
Ga  0.869  0.381  0.869
Ga  0.869  0.869  0.381
Pd  0.000  0.500  0.500
Pd  0.500  0.000  0.500
Pd  0.500  0.500  0.000
Pd  0.500  0.500  0.500


The following is a theoretical X-ray powder pattern of Pm2Ga9Pd6. It was derived from a crystal structure in Alexandria, relaxed with PBE, using Cu Kα (weighted mean of Kα1 and Kα2).
Intensities are scaled so that the largest is 100.

Principal peaks in the range 15° ≤ 2θ ≤ 90°, by angle:
2.705 Å, 33.1 deg, intensity 32
2.342 Å, 38.4 deg, intensity 16
2.283 Å, 39.5 deg, intensity 100
2.130 Å, 42.4 deg, intensity 25
2.053 Å, 44.1 deg, intensity 26
1.466 Å, 63.4 deg, intensity 24
1.352 Å, 69.5 deg, intensity 18
1.142 Å, 84.9 deg, intensity 19

Atomic structure:
abc: 5.410 5.410 12.780
angles: 90.00 90.00 120.00
Sites, in units of the cell vectors:
Pm  0.000  0.000  0.157
Pm  0.000  0.000  0.843
Ga  0.000  0.500  0.000
Ga  0.000  0.500  0.340
Ga  0.000  0.500  0.660
Ga  0.500  0.000  0.000
Ga  0.500  0.000  0.340
Ga  0.500  0.000  0.660
Ga  0.500  0.500  0.000
Ga  0.500  0.500  0.340
Ga  0.500  0.500  0.660
Pd  0.333  0.667  0.172
Pd  0.333  0.667  0.500
Pd  0.333  0.667  0.828
Pd  0.667  0.333  0.172
Pd  0.667  0.333  0.500
Pd  0.667  0.333  0.828


The following is a theoretical X-ray powder pattern of PmGa3Pd. It was derived from a crystal structure in Alexandria, relaxed with PBE, using Cu Kα (weighted mean of Kα1 and Kα2).
Intensities are scaled so that the largest is 100.

Principal peaks in the range 15° ≤ 2θ ≤ 90°, by angle:
3.042 Å, 29.4 deg, intensity 26
2.736 Å, 32.7 deg, intensity 74
2.641 Å, 34.0 deg, intensity 100
2.151 Å, 42.0 deg, intensity 66
1.906 Å, 47.7 deg, intensity 30
1.691 Å, 54.2 deg, intensity 35
1.427 Å, 65.4 deg, intensity 23
1.318 Å, 71.6 deg, intensity 22

Atomic structure:
abc: 4.302 4.302 10.633
angles: 90.00 90.00 90.00
Sites, in units of the cell vectors:
Pm  0.000  0.000  0.000
Pm  0.500  0.500  0.500
Ga  0.000  0.000  0.413
Ga  0.000  0.500  0.264
Ga  0.000  0.500  0.764
Ga  0.500  0.000  0.264
Ga  0.500  0.000  0.764
Ga  0.500  0.500  0.913
Pd  0.000  0.000  0.644
Pd  0.500  0.500  0.144